This entry pairs a crystal structure of NaYTiO4 with its calculated X-ray diffraction stick pattern. Radiation: Cu Kα, 1.54184 Å. Structure: a DFT-relaxed cell (GGA-PBE, the Materials Project).

Most intense lines, 5 to 70 degrees two-theta, by angle:
2θ/deg, d (Å), I_rel, hkl
7.09, 12.471, 100.0, 1 0 0
27.50, 3.243, 39.2, 2 1 1
31.92, 2.804, 66.3, 3 1 1
32.93, 2.720, 22.4, 0 2 0
33.79, 2.652, 27.6, 0 0 2
47.91, 1.899, 29.8, 0 2 2

Unit cell a=12.4713 b=5.4398 c=5.3036 alpha=90.00 beta=90.00 gamma=90.00
Space group Pbcm (No. 57)
Asymmetric unit:
Na: 0.0866 0.0017 0.2500
Y: 0.3939 0.0253 0.2500
Ti: 0.2375 0.5086 0.2500
O: 0.0976 0.5490 0.2500
O: 0.2565 0.2500 0.0000
O: 0.2895 0.7500 0.0000
O: 0.4360 0.0723 0.7500